(1)
Structure and computed X-ray diffraction stick pattern of Pr2ScBePt6 (a structure optimized by DFT (PBE); Cu Kα).
No peak broadening, texture or thermal motion is included.

The 10 most intense peaks (10° ≤ 2θ ≤ 90°), by angle:
2θ 26.76, I = 39.6, hkl 0 0 6; 2θ 28.39, I = 21.0, hkl 0 1 5; 2θ 33.34, I = 13.4, hkl 1 1 3; 2θ 36.07, I = 17.0, hkl 1 0 7; 2θ 36.45, I = 100.0, hkl 2 0 2; 2θ 39.76, I = 74.2, hkl 0 2 4; 2θ 51.59, I = 14.2, hkl 1 1 9; 2θ 57.81, I = 13.3, hkl 2 1 7; 2θ 63.33, I = 24.5, hkl 2 2 0; 2θ 70.01, I = 15.8, hkl 2 2 6

Structure:
Lattice parameters (Å, degrees): 5.8743 5.8743 19.9899 90.00 90.00 120.00
Space group R-3m (No. 166, hexagonal axes)
One atom of each set of equivalent atoms:
Pr (0.0000, 0.0000, 0.2244)
Sc (0.0000, 0.0000, 0.5000)
Be (0.0000, 0.0000, 0.0000)
Pt (0.0137, 0.5069, 0.2693)

***

(2)
Structure and computed X-ray diffraction stick pattern of Zn2Cu2Br7 (a structure optimized by DFT (PBE); Cu Kα).
No peak broadening, texture or thermal motion is included.

The 10 most intense peaks (10° ≤ 2θ ≤ 90°), by angle:
2θ 12.50, I = 34.2, hkl 1 1 -1; 2θ 13.21, I = 100.0, hkl 0 0 2; 2θ 19.48, I = 60.3, hkl 2 0 -2; 2θ 20.61, I = 41.3, hkl 0 2 2; 2θ 23.99, I = 47.1, hkl 2 2 -1; 2θ 26.59, I = 39.3, hkl 0 0 4; 2θ 27.49, I = 47.2, hkl 1 3 -2; 2θ 27.92, I = 50.0, hkl 2 2 -3; 2θ 28.32, I = 32.6, hkl 3 1 -1; 2θ 31.95, I = 44.3, hkl 1 1 4

Structure:
Lattice parameters (Å, degrees): 9.876 11.254 14.071 90.00 107.73 90.00
Space group C2/c (No. 15)
One atom of each set of equivalent atoms:
Zn (0.189, 0.038, 0.215)
Cu (0.056, 0.366, 0.168)
Br (0.000, 0.079, 0.750)
Br (0.107, 0.189, 0.090)
Br (0.113, 0.431, 0.637)
Br (0.201, 0.361, 0.354)

***

Please write out number 1 again, unchanged.
Structure and computed X-ray diffraction stick pattern of Pr2ScBePt6 (a structure optimized by DFT (PBE); Cu Kα).
No peak broadening, texture or thermal motion is included.

The 10 most intense peaks (10° ≤ 2θ ≤ 90°), by angle:
2θ 26.76, I = 39.6, hkl 0 0 6; 2θ 28.39, I = 21.0, hkl 0 1 5; 2θ 33.34, I = 13.4, hkl 1 1 3; 2θ 36.07, I = 17.0, hkl 1 0 7; 2θ 36.45, I = 100.0, hkl 2 0 2; 2θ 39.76, I = 74.2, hkl 0 2 4; 2θ 51.59, I = 14.2, hkl 1 1 9; 2θ 57.81, I = 13.3, hkl 2 1 7; 2θ 63.33, I = 24.5, hkl 2 2 0; 2θ 70.01, I = 15.8, hkl 2 2 6

Structure:
Lattice parameters (Å, degrees): 5.8743 5.8743 19.9899 90.00 90.00 120.00
Space group R-3m (No. 166, hexagonal axes)
One atom of each set of equivalent atoms:
Pr (0.0000, 0.0000, 0.2244)
Sc (0.0000, 0.0000, 0.5000)
Be (0.0000, 0.0000, 0.0000)
Pt (0.0137, 0.5069, 0.2693)